Calculated X-ray powder pattern of Ba2Sr4P3H2 for Cu Ka, from a cell relaxed with GGA-PBE.
Neutral-atom scattering factors, no anomalous dispersion.

Structure:
a = 12.949 Å, b = 12.949 Å, c = 12.949 Å
α = 158.14°, β = 158.14°, γ = 31.11°
Positions (direct):
Ba (0.205, 0.205, 0.000)
Ba (0.795, 0.795, 0.000)
Sr (0.078, 0.578, 0.500)
Sr (0.422, 0.922, 0.500)
Sr (0.578, 0.078, 0.500)
Sr (0.922, 0.422, 0.500)
P (0.336, 0.336, 0.000)
P (0.500, 0.500, 0.000)
P (0.664, 0.664, 0.000)
H (0.093, 0.093, 0.000)
H (0.907, 0.907, 0.000)

Top 6 peaks for 2θ from 10° to 80°, in order of rising 2θ:
2θ 21.01, I 28
2θ 26.64, I 100
2θ 31.00, I 38
2θ 33.62, I 70
2θ 36.59, I 63
2θ 51.22, I 28



Calculated X-ray powder pattern of Ba2PaHS5 for Cu Ka, from a cell relaxed with GGA-PBE.
Neutral-atom scattering factors, no anomalous dispersion.

Structure:
a = 9.202 Å, b = 9.202 Å, c = 12.674 Å
α = 90.00°, β = 90.00°, γ = 153.37°
Positions (direct):
Ba (0.110, 0.890, 0.500)
Ba (0.129, 0.871, 0.136)
Ba (0.871, 0.129, 0.636)
Ba (0.890, 0.110, 0.000)
Pa (0.195, 0.805, 0.832)
Pa (0.805, 0.195, 0.332)
H (0.472, 0.528, 0.203)
H (0.528, 0.472, 0.703)
S (0.060, 0.940, 0.874)
S (0.289, 0.711, 0.469)
S (0.308, 0.692, 0.195)
S (0.343, 0.657, 0.822)
S (0.499, 0.501, 0.603)
S (0.501, 0.499, 0.103)
S (0.657, 0.343, 0.322)
S (0.692, 0.308, 0.695)
S (0.711, 0.289, 0.969)
S (0.940, 0.060, 0.374)

Top 6 peaks for 2θ from 10° to 80°, in order of rising 2θ:
2θ 17.14, I 35
2θ 23.28, I 50
2θ 25.78, I 31
2θ 30.28, I 100
2θ 30.77, I 30
2θ 35.75, I 42



Calculated X-ray powder pattern of Ba2H2Pb for Cu Ka, from a cell relaxed with GGA-PBE.
Neutral-atom scattering factors, no anomalous dispersion.

Structure:
a = 9.377 Å, b = 9.377 Å, c = 7.492 Å
α = 101.50°, β = 101.50°, γ = 23.04°
Positions (direct):
Ba (0.148, 0.149, 0.574)
Ba (0.149, 0.148, 0.074)
Ba (0.851, 0.852, 0.926)
Ba (0.852, 0.851, 0.426)
H (0.299, 0.300, 0.150)
H (0.300, 0.299, 0.650)
H (0.700, 0.701, 0.350)
H (0.701, 0.700, 0.850)
Pb (0.499, 0.501, 0.750)
Pb (0.501, 0.499, 0.250)

Top 6 peaks for 2θ from 10° to 80°, in order of rising 2θ:
2θ 28.09, I 100
2θ 29.80, I 18
2θ 33.84, I 34
2θ 34.57, I 14
2θ 45.70, I 22
2θ 57.09, I 28



Calculated X-ray powder pattern of Ba6H2Pd for Cu Ka, from a cell relaxed with GGA-PBE.
Neutral-atom scattering factors, no anomalous dispersion.

Structure:
a = 7.226 Å, b = 7.700 Å, c = 13.182 Å
α = 90.00°, β = 90.00°, γ = 90.00°
Positions (direct):
Ba (0.230, 0.152, 0.000)
Ba (0.243, 0.676, 0.170)
Ba (0.243, 0.676, 0.830)
Ba (0.257, 0.176, 0.330)
Ba (0.257, 0.176, 0.670)
Ba (0.270, 0.652, 0.500)
Ba (0.730, 0.348, 0.500)
Ba (0.743, 0.824, 0.330)
Ba (0.743, 0.824, 0.670)
Ba (0.757, 0.324, 0.170)
Ba (0.757, 0.324, 0.830)
Ba (0.770, 0.848, 0.000)
H (0.000, 0.000, 0.165)
H (0.000, 0.000, 0.835)
H (0.500, 0.500, 0.335)
H (0.500, 0.500, 0.665)
Pd (0.000, 0.500, 0.000)
Pd (0.500, 0.000, 0.500)

Top 6 peaks for 2θ from 10° to 80°, in order of rising 2θ:
2θ 24.64, I 28
2θ 26.23, I 49
2θ 26.41, I 100
2θ 34.17, I 27
2θ 40.71, I 26
2θ 44.48, I 23



Calculated X-ray powder pattern of BaH7Pd4 for Cu Ka, from a cell relaxed with GGA-PBE.
Neutral-atom scattering factors, no anomalous dispersion.

Structure:
a = 8.163 Å, b = 8.163 Å, c = 8.163 Å
α = 151.06°, β = 150.90°, γ = 41.50°
Positions (direct):
Ba (0.000, 0.000, 0.000)
H (0.132, 0.632, 0.500)
H (0.265, 0.265, 0.000)
H (0.368, 0.868, 0.500)
H (0.500, 0.500, 0.000)
H (0.632, 0.132, 0.500)
H (0.735, 0.735, 0.000)
H (0.868, 0.368, 0.500)
Pd (0.250, 0.750, 0.500)
Pd (0.384, 0.384, 0.000)
Pd (0.616, 0.616, 0.000)
Pd (0.750, 0.250, 0.500)

Top 6 peaks for 2θ from 10° to 80°, in order of rising 2θ:
2θ 27.99, I 74
2θ 33.12, I 100
2θ 36.73, I 55
2θ 39.08, I 38
2θ 44.16, I 26
2θ 47.62, I 39



Calculated X-ray powder pattern of BaH2Pd2 for Cu Ka, from a cell relaxed with GGA-PBE.
Neutral-atom scattering factors, no anomalous dispersion.

Structure:
a = 6.506 Å, b = 6.506 Å, c = 5.775 Å
α = 99.13°, β = 99.13°, γ = 132.19°
Positions (direct):
Ba (0.160, 0.840, 0.750)
Ba (0.840, 0.160, 0.250)
H (0.164, 0.836, 0.250)
H (0.474, 0.526, 0.250)
H (0.526, 0.474, 0.750)
H (0.836, 0.164, 0.750)
Pd (0.222, 0.364, 0.855)
Pd (0.364, 0.222, 0.355)
Pd (0.636, 0.778, 0.645)
Pd (0.778, 0.636, 0.145)

Top 6 peaks for 2θ from 10° to 80°, in order of rising 2θ:
2θ 29.09, I 48
2θ 30.36, I 67
2θ 32.34, I 95
2θ 34.56, I 100
2θ 37.28, I 38
2θ 37.39, I 91



Repeat the fifth record exactly.
Calculated X-ray powder pattern of BaH7Pd4 for Cu Ka, from a cell relaxed with GGA-PBE.
Neutral-atom scattering factors, no anomalous dispersion.

Structure:
a = 8.163 Å, b = 8.163 Å, c = 8.163 Å
α = 151.06°, β = 150.90°, γ = 41.50°
Positions (direct):
Ba (0.000, 0.000, 0.000)
H (0.132, 0.632, 0.500)
H (0.265, 0.265, 0.000)
H (0.368, 0.868, 0.500)
H (0.500, 0.500, 0.000)
H (0.632, 0.132, 0.500)
H (0.735, 0.735, 0.000)
H (0.868, 0.368, 0.500)
Pd (0.250, 0.750, 0.500)
Pd (0.384, 0.384, 0.000)
Pd (0.616, 0.616, 0.000)
Pd (0.750, 0.250, 0.500)

Top 6 peaks for 2θ from 10° to 80°, in order of rising 2θ:
2θ 27.99, I 74
2θ 33.12, I 100
2θ 36.73, I 55
2θ 39.08, I 38
2θ 44.16, I 26
2θ 47.62, I 39